Record 1
This entry pairs a crystal structure of Mg6Ag2Au with its calculated XRD peak list. Radiation: Cu Kα, 1.54184 Å. Structure: the PBE geometry in Alexandria.
Peak positions follow from Bragg's law for the DFT cell and can differ from measured ones.

Largest 10 diffraction maxima, by angle, 2θ from 5° to 70°:
2θ/deg, I_rel
19.39, 36
19.53, 81
20.12, 32
23.99, 33
28.16, 24
36.94, 38
37.68, 100
39.65, 30
41.99, 31
47.42, 30

Cell and atoms:
abc: 7.8168 7.8168 7.8168
angles: 111.24 108.88 108.30
Sites, in units of the cell vectors:
1 Mg 0.0643 0.8354 0.2289
2 Mg 0.2564 0.5657 0.3093
3 Mg 0.2564 0.9471 0.6907
4 Mg 0.2755 0.3226 0.5982
5 Mg 0.2755 0.6774 0.9529
6 Mg 0.3935 0.1646 0.2289
7 Mg 0.6065 0.8354 0.7711
8 Mg 0.7245 0.3226 0.0471
9 Mg 0.7245 0.6774 0.4018
10 Mg 0.7436 0.0529 0.3093
11 Mg 0.7436 0.4343 0.6907
12 Mg 0.9357 0.1646 0.7711
13 Ag 0.0000 0.1585 0.1585
14 Ag 0.0000 0.8415 0.8415
15 Ag 0.3483 0.3483 0.0000
16 Ag 0.6517 0.6517 0.0000
17 Au 0.0000 0.5000 0.5000
18 Au 0.5000 0.0000 0.5000

=====

Record 2
This entry pairs a crystal structure of Mg3Ag2Au4 with its calculated XRD peak list. Radiation: Cu Kα, 1.54184 Å. Structure: the PBE geometry in Alexandria.
Peak positions follow from Bragg's law for the DFT cell and can differ from measured ones.

Largest 10 diffraction maxima, by angle, 2θ from 5° to 70°:
2θ/deg, I_rel
22.10, 53
27.54, 37
34.19, 18
36.74, 51
36.95, 100
39.66, 83
45.59, 55
59.92, 24
64.02, 20
68.13, 16

Cell and atoms:
abc: 8.3021 8.3021 5.0253
angles: 97.56 97.56 72.22
Sites, in units of the cell vectors:
1 Mg 0.1302 0.8698 0.7500
2 Mg 0.2140 0.4570 0.9133
3 Mg 0.4570 0.2140 0.4133
4 Mg 0.5430 0.7860 0.5867
5 Mg 0.7860 0.5430 0.0867
6 Mg 0.8698 0.1302 0.2500
7 Ag 0.0082 0.7695 0.1998
8 Ag 0.2305 0.9918 0.3002
9 Ag 0.7695 0.0082 0.6998
10 Ag 0.9918 0.2305 0.8002
11 Au 0.0954 0.3523 0.3466
12 Au 0.3167 0.5745 0.4717
13 Au 0.3523 0.0954 0.8466
14 Au 0.4255 0.6833 0.0283
15 Au 0.5745 0.3167 0.9717
16 Au 0.6477 0.9046 0.1534
17 Au 0.6833 0.4255 0.5283
18 Au 0.9046 0.6477 0.6534

=====

Record 3
This entry pairs a crystal structure of Mg2Ag4Au3 with its calculated XRD peak list. Radiation: Cu Kα, 1.54184 Å. Structure: the PBE geometry in Alexandria.
Peak positions follow from Bragg's law for the DFT cell and can differ from measured ones.

Largest 10 diffraction maxima, by angle, 2θ from 5° to 70°:
2θ/deg, I_rel
21.18, 23
24.92, 33
25.70, 17
37.48, 100
37.59, 99
42.47, 36
43.75, 32
44.60, 31
63.28, 21
64.25, 20

Cell and atoms:
abc: 5.1434 5.1434 8.9236
angles: 108.26 108.26 46.53
Sites, in units of the cell vectors:
1 Mg 0.1670 0.1670 0.2267
2 Mg 0.8330 0.8330 0.7733
3 Ag 0.1671 0.1671 0.8909
4 Ag 0.4977 0.4977 0.3318
5 Ag 0.5023 0.5023 0.6682
6 Ag 0.8329 0.8329 0.1091
7 Au 0.1697 0.1697 0.5599
8 Au 0.5000 0.5000 0.0000
9 Au 0.8303 0.8303 0.4401

=====

Record 4
This entry pairs a crystal structure of Mg2Ag5Au with its calculated XRD peak list. Radiation: Cu Kα, 1.54184 Å. Structure: the PBE geometry in Alexandria.
Peak positions follow from Bragg's law for the DFT cell and can differ from measured ones.

Largest 10 diffraction maxima, by angle, 2θ from 5° to 70°:
2θ/deg, I_rel
21.14, 10
21.86, 10
30.07, 9
30.59, 8
37.48, 100
43.04, 33
44.57, 15
48.78, 5
62.50, 10
63.69, 20

Cell and atoms:
abc: 5.9432 11.8891 4.0658
angles: 90.00 90.00 90.00
Sites, in units of the cell vectors:
1 Mg 0.2360 0.1215 0.0000
2 Mg 0.2640 0.6215 0.0000
3 Mg 0.7360 0.3785 0.0000
4 Mg 0.7640 0.8785 0.0000
5 Ag 0.0000 0.5000 0.5000
6 Ag 0.0130 0.7495 0.5000
7 Ag 0.2381 0.3722 0.0000
8 Ag 0.2619 0.8722 0.0000
9 Ag 0.4870 0.2495 0.5000
10 Ag 0.5000 0.0000 0.5000
11 Ag 0.5130 0.7505 0.5000
12 Ag 0.7381 0.1278 0.0000
13 Ag 0.7619 0.6278 0.0000
14 Ag 0.9870 0.2505 0.5000
15 Au 0.0000 0.0000 0.5000
16 Au 0.5000 0.5000 0.5000

=====

Record 5
This entry pairs a crystal structure of Mg2AgAu7 with its calculated XRD peak list. Radiation: Cu Kα, 1.54184 Å. Structure: the PBE geometry in Alexandria.
Peak positions follow from Bragg's law for the DFT cell and can differ from measured ones.

Largest 10 diffraction maxima, by angle, 2θ from 5° to 70°:
2θ/deg, I_rel
13.46, 46
20.31, 35
22.24, 50
23.88, 50
31.64, 58
32.43, 32
34.94, 50
39.67, 100
41.29, 50
42.49, 82

Cell and atoms:
abc: 8.0279 8.0279 4.3734
angles: 90.00 90.00 125.00
Sites, in units of the cell vectors:
1 Mg 0.2002 0.7998 0.0000
2 Mg 0.7998 0.2002 0.0000
3 Ag 0.5000 0.5000 0.5000
4 Au 0.0000 0.0000 0.0000
5 Au 0.2068 0.4147 0.0000
6 Au 0.3071 0.6929 0.5000
7 Au 0.4147 0.2068 0.0000
8 Au 0.5853 0.7932 0.0000
9 Au 0.6929 0.3071 0.5000
10 Au 0.7932 0.5853 0.0000

=====

Record 6
This entry pairs a crystal structure of Mg2AgAu8 with its calculated XRD peak list. Radiation: Cu Kα, 1.54184 Å. Structure: the PBE geometry in Alexandria.
Peak positions follow from Bragg's law for the DFT cell and can differ from measured ones.

Largest 10 diffraction maxima, by angle, 2θ from 5° to 70°:
2θ/deg, I_rel
25.89, 18
29.50, 35
33.58, 24
38.05, 100
38.26, 17
38.87, 75
39.84, 37
41.81, 39
59.12, 26
66.09, 19

Cell and atoms:
abc: 7.0679 7.0679 4.3211
angles: 90.00 90.00 106.19
Sites, in units of the cell vectors:
1 Mg 0.1278 0.8722 0.0000
2 Mg 0.8722 0.1278 0.0000
3 Ag 0.5000 0.5000 0.5000
4 Au 0.1640 0.1640 0.5000
5 Au 0.1935 0.4584 0.0000
6 Au 0.2576 0.7424 0.5000
7 Au 0.4584 0.1935 0.0000
8 Au 0.5416 0.8065 0.0000
9 Au 0.7424 0.2576 0.5000
10 Au 0.8065 0.5416 0.0000
11 Au 0.8360 0.8360 0.5000

=====

Record 7
This entry pairs a crystal structure of Mg3Ag2Au3 with its calculated XRD peak list. Radiation: Cu Kα, 1.54184 Å. Structure: the PBE geometry in Alexandria.
Peak positions follow from Bragg's law for the DFT cell and can differ from measured ones.

Largest 10 diffraction maxima, by angle, 2θ from 5° to 70°:
2θ/deg, I_rel
18.98, 30
25.27, 24
26.41, 20
29.30, 18
35.34, 34
36.87, 47
39.91, 65
40.03, 100
51.98, 26
68.51, 33

Cell and atoms:
abc: 4.8759 11.7162 5.0982
angles: 90.00 90.00 90.00
Sites, in units of the cell vectors:
1 Mg 0.2500 0.1103 0.1555
2 Mg 0.2500 0.3897 0.1555
3 Mg 0.2500 0.7500 0.6395
4 Mg 0.7500 0.2500 0.3604
5 Mg 0.7500 0.6103 0.8445
6 Mg 0.7500 0.8897 0.8445
7 Ag 0.2500 0.6306 0.1494
8 Ag 0.2500 0.8694 0.1494
9 Ag 0.7500 0.1306 0.8506
10 Ag 0.7500 0.3694 0.8506
11 Au 0.2500 0.2500 0.6314
12 Au 0.2500 0.5032 0.6651
13 Au 0.2500 0.9968 0.6651
14 Au 0.7500 0.0032 0.3349
15 Au 0.7500 0.4968 0.3349
16 Au 0.7500 0.7500 0.3686

=====

Record 8
This entry pairs a crystal structure of Mg2AgPd5Au with its calculated XRD peak list. Radiation: Cu Kα, 1.54184 Å. Structure: the PBE geometry in Alexandria.
Peak positions follow from Bragg's law for the DFT cell and can differ from measured ones.

Largest 10 diffraction maxima, by angle, 2θ from 5° to 70°:
2θ/deg, I_rel
15.16, 11
22.90, 18
28.21, 12
28.70, 12
34.52, 61
35.74, 17
39.39, 100
41.83, 13
49.62, 12
65.13, 23

Cell and atoms:
abc: 7.8210 7.8210 7.8210
angles: 123.96 123.96 83.27
Sites, in units of the cell vectors:
1 Mg 0.1169 0.6169 0.7337
2 Mg 0.3831 0.1169 0.5000
3 Mg 0.6169 0.8831 0.5000
4 Mg 0.8831 0.3831 0.2663
5 Ag 0.2500 0.2500 0.0000
6 Ag 0.7500 0.7500 0.0000
7 Pd 0.0000 0.0000 0.0000
8 Pd 0.0767 0.1673 0.5000
9 Pd 0.1673 0.6673 0.0906
10 Pd 0.3327 0.4233 0.5000
11 Pd 0.4233 0.9233 0.0906
12 Pd 0.5000 0.5000 0.0000
13 Pd 0.5767 0.0767 0.9094
14 Pd 0.6673 0.5767 0.5000
15 Pd 0.8327 0.3327 0.9094
16 Pd 0.9233 0.8327 0.5000
17 Au 0.2500 0.7500 0.5000
18 Au 0.7500 0.2500 0.5000

=====

Record 9
This entry pairs a crystal structure of Mg4Zn2Ag2Au with its calculated XRD peak list. Radiation: Cu Kα, 1.54184 Å. Structure: the PBE geometry in Alexandria.
Peak positions follow from Bragg's law for the DFT cell and can differ from measured ones.

Largest 10 diffraction maxima, by angle, 2θ from 5° to 70°:
2θ/deg, I_rel
19.03, 99
22.95, 49
26.12, 53
29.67, 37
38.17, 100
38.29, 51
38.69, 50
39.85, 58
45.59, 29
47.91, 24

Cell and atoms:
abc: 5.3033 6.0547 6.1025
angles: 105.91 91.69 113.31
Sites, in units of the cell vectors:
1 Mg 0.1677 0.2529 0.1746
2 Mg 0.3252 0.1440 0.6449
3 Mg 0.6748 0.8560 0.3551
4 Mg 0.8323 0.7471 0.8254
5 Zn 0.2759 0.6126 0.6106
6 Zn 0.7241 0.3874 0.3894
7 Ag 0.0986 0.7140 0.2219
8 Ag 0.9014 0.2860 0.7781
9 Au 0.5000 0.0000 0.0000

=====

Record 10
This entry pairs a crystal structure of Mg2Zn2AgAu2 with its calculated XRD peak list. Radiation: Cu Kα, 1.54184 Å. Structure: the PBE geometry in Alexandria.
Peak positions follow from Bragg's law for the DFT cell and can differ from measured ones.

Largest 10 diffraction maxima, by angle, 2θ from 5° to 70°:
2θ/deg, I_rel
14.03, 67
23.73, 33
28.05, 26
37.82, 100
38.07, 97
42.05, 37
44.31, 32
45.87, 28
62.74, 22
65.68, 19

Cell and atoms:
abc: 9.4270 4.0883 6.3325
angles: 90.00 94.42 90.00
Sites, in units of the cell vectors:
1 Mg 0.2073 0.0000 0.1594
2 Mg 0.2927 0.5000 0.8406
3 Mg 0.7073 0.5000 0.1594
4 Mg 0.7927 0.0000 0.8406
5 Zn 0.0786 0.0000 0.7036
6 Zn 0.4214 0.5000 0.2964
7 Zn 0.5786 0.5000 0.7036
8 Zn 0.9214 0.0000 0.2964
9 Ag 0.0000 0.5000 0.0000
10 Ag 0.5000 0.0000 0.0000
11 Au 0.1405 0.5000 0.4246
12 Au 0.3595 0.0000 0.5754
13 Au 0.6405 0.0000 0.4246
14 Au 0.8595 0.5000 0.5754

=====

Record 11
This entry pairs a crystal structure of Mg3Zn2Ag3Au with its calculated XRD peak list. Radiation: Cu Kα, 1.54184 Å. Structure: the PBE geometry in Alexandria.
Peak positions follow from Bragg's law for the DFT cell and can differ from measured ones.

Largest 10 diffraction maxima, by angle, 2θ from 5° to 70°:
2θ/deg, I_rel
22.93, 65
26.54, 45
31.96, 37
35.35, 27
37.27, 65
39.70, 94
40.27, 100
46.34, 56
60.04, 26
68.02, 46

Cell and atoms:
abc: 7.7571 7.7571 3.0810
angles: 90.00 90.00 120.00
Sites, in units of the cell vectors:
1 Mg 0.0000 0.2888 0.0000
2 Mg 0.2888 0.0000 0.0000
3 Mg 0.7112 0.7112 0.0000
4 Zn 0.3333 0.6667 0.0000
5 Zn 0.6667 0.3333 0.0000
6 Ag 0.0000 0.6150 0.5000
7 Ag 0.3850 0.3850 0.5000
8 Ag 0.6150 0.0000 0.5000
9 Au 0.0000 0.0000 0.5000

=====

Record 12
This entry pairs a crystal structure of MnAg2Au6 with its calculated XRD peak list. Radiation: Cu Kα, 1.54184 Å. Structure: the PBE geometry in Alexandria.
Peak positions follow from Bragg's law for the DFT cell and can differ from measured ones.

Largest 10 diffraction maxima, by angle, 2θ from 5° to 70°:
2θ/deg, I_rel
21.36, 6
24.87, 9
37.61, 100
37.79, 99
43.61, 34
43.70, 33
44.12, 32
63.21, 11
63.75, 32
63.84, 21

Cell and atoms:
abc: 5.0839 5.0839 8.7669
angles: 106.80 106.80 47.63
Sites, in units of the cell vectors:
1 Mn 0.0000 0.0000 0.0000
2 Ag 0.3333 0.3333 0.4455
3 Ag 0.6667 0.6667 0.5545
4 Au 0.0029 0.0029 0.6707
5 Au 0.3309 0.3309 0.1079
6 Au 0.3407 0.3407 0.7826
7 Au 0.6593 0.6593 0.2174
8 Au 0.6691 0.6691 0.8921
9 Au 0.9971 0.9971 0.3293

=====

Record 13
This entry pairs a crystal structure of AgMo4Au with its calculated XRD peak list. Radiation: Cu Kα, 1.54184 Å. Structure: the PBE geometry in Alexandria.
Peak positions follow from Bragg's law for the DFT cell and can differ from measured ones.

Largest 9 diffraction maxima, by angle, 2θ from 5° to 70°:
2θ/deg, I_rel
20.71, 4
23.95, 4
34.13, 43
40.26, 100
42.13, 26
53.78, 1
55.29, 2
61.10, 16
65.25, 31

Cell and atoms:
abc: 5.2538 5.2538 5.2538
angles: 60.00 60.00 60.00
Sites, in units of the cell vectors:
1 Ag 0.0000 0.0000 0.0000
2 Mo 0.1231 0.6256 0.6256
3 Mo 0.6256 0.1231 0.6256
4 Mo 0.6256 0.6256 0.1231
5 Mo 0.6256 0.6256 0.6256
6 Au 0.2500 0.2500 0.2500